Record 1
Starting from a structure optimized by DFT (PBE), the X-ray powder pattern of TbAl12Pt4 was simulated for Cu Kα, 1.54184 Å.
No peak broadening, texture or thermal motion is included.

Structure:
abc: 8.782 8.782 8.782
angles: 90.00 90.00 90.00
Space group Im-3 (No. 204)
Inequivalent atoms, fractional coordinates:
Tb1 0.000 0.000 0.000 x2
Al1 0.000 0.158 0.341 x24
Pt1 0.250 0.250 0.250 x8

The 6 most intense peaks (2θ = 15–90°), most intense first:
| 2theta | I/Imax | h k l |
| --- | --- | --- |
| 28.8 | 100 | 2 2 0 |
| 50.9 | 58 | 4 2 2 |
| 20.2 | 56 | 2 0 0 |
| 46.2 | 37 | 4 0 2 |
| 67.4 | 22 | 6 2 0 |
| 82.1 | 21 | 6 4 2 |

=====

Record 2
Starting from a structure optimized by DFT (PBE), the X-ray powder pattern of Pa2GaOs was simulated for Cu Kα, 1.54184 Å.
No peak broadening, texture or thermal motion is included.

Structure:
abc: 4.376 4.376 4.196
angles: 90.00 90.00 90.00
Space group P4/mmm (No. 123)
Inequivalent atoms, fractional coordinates:
Pa1 0.000 0.500 0.000 x2
Ga1 0.000 0.000 0.500 x1
Os1 0.500 0.500 0.500 x1

The 6 most intense peaks (2θ = 15–90°), most intense first:
| 2theta | I/Imax | h k l |
| --- | --- | --- |
| 36.1 | 100 | 1 1 1 |
| 41.3 | 35 | 2 0 0 |
| 71.8 | 28 | 3 1 1 |
| 61.2 | 22 | 2 0 2 |
| 43.1 | 15 | 0 0 2 |
| 74.4 | 13 | 1 1 3 |

=====

Record 3
Starting from a structure optimized by DFT (PBE), the X-ray powder pattern of AgAuI was simulated for Cu Kα, 1.54184 Å.
No peak broadening, texture or thermal motion is included.

Structure:
abc: 4.1256 4.1256 5.1879
angles: 90.00 90.00 120.00
Space group P3m1 (No. 156)
Inequivalent atoms, fractional coordinates:
Ag1 0.0000 0.0000 0.0000 x1
Au1 0.3333 0.6667 0.7133 x1
I1 0.6667 0.3333 0.3506 x1

The 6 most intense peaks (2θ = 15–90°), most intense first:
| 2theta | I/Imax | h k l |
| --- | --- | --- |
| 30.4 | 100 | 1 0 1 |
| 43.1 | 38 | 0 1 2 |
| 43.9 | 36 | 1 1 0 |
| 54.3 | 19 | 0 2 1 |
| 72.3 | 17 | 2 1 1 |
| 71.1 | 15 | 1 1 3 |

=====

Record 4
Starting from a structure optimized by DFT (PBE), the X-ray powder pattern of Nd9Er4Zn11 was simulated for Cu Kα, 1.54184 Å.
No peak broadening, texture or thermal motion is included.

Structure:
abc: 15.275 22.139 3.520
angles: 90.00 90.00 90.00
Space group Cmmm (No. 65)
Inequivalent atoms, fractional coordinates:
Nd1 0.000 0.000 0.000 x2
Nd2 0.115 0.244 0.000 x8
Nd3 0.123 0.416 0.000 x8
Er1 0.155 0.094 0.000 x8
Zn1 0.000 0.136 0.500 x4
Zn2 0.000 0.334 0.500 x4
Zn3 0.000 0.500 0.500 x2
Zn4 0.240 0.000 0.500 x4
Zn5 0.240 0.322 0.500 x8

The 6 most intense peaks (2θ = 15–90°), most intense first:
| 2theta | I/Imax | h k l |
| --- | --- | --- |
| 33.8 | 100 | 4 6 0 |
| 34.7 | 84 | 4 0 1 |
| 35.2 | 84 | 0 6 1 |
| 63.4 | 32 | 4 6 2 |
| 25.3 | 25 | 0 0 1 |
| 42.7 | 20 | 4 6 1 |

=====

Record 5
Starting from a structure optimized by DFT (PBE), the X-ray powder pattern of WBr2Cl was simulated for Cu Kα, 1.54184 Å.
No peak broadening, texture or thermal motion is included.

Structure:
abc: 13.318 3.269 7.032
angles: 90.00 120.22 90.00
Space group Cm (No. 8)
Inequivalent atoms, fractional coordinates:
W1 0.000 0.000 0.000 x2
Br1 0.006 0.500 0.718 x2
Br2 0.155 0.500 0.286 x2
Cl1 0.362 0.000 0.998 x2

The 6 most intense peaks (2θ = 15–90°), most intense first:
| 2theta | I/Imax | h k l |
| --- | --- | --- |
| 15.4 | 100 | 2 0 0 |
| 44.2 | 46 | 5 1 -1 |
| 38.3 | 40 | 1 1 -2 |
| 33.8 | 37 | 1 1 1 |
| 34.2 | 32 | 3 1 -1 |
| 38.6 | 23 | 3 1 -2 |

=====

Record 6
Starting from a structure optimized by DFT (PBE), the X-ray powder pattern of Ac2Ni4C was simulated for Cu Kα, 1.54184 Å.
No peak broadening, texture or thermal motion is included.

Structure:
abc: 7.198 7.213 9.704
angles: 90.00 90.00 90.00
Space group Fmm2 (No. 42)
Inequivalent atoms, fractional coordinates:
Ac1 0.250 0.250 0.000 x8
Ni1 0.000 0.248 0.250 x8
Ni2 0.247 0.000 0.250 x8
C1 0.000 0.000 0.676 x4

The 6 most intense peaks (2θ = 15–90°), most intense first:
| 2theta | I/Imax | h k l |
| --- | --- | --- |
| 40.0 | 100 | 2 2 2 |
| 30.9 | 82 | 2 0 2 |
| 24.7 | 66 | 2 0 0 |
| 37.1 | 31 | 0 0 4 |
| 45.1 | 29 | 2 0 4 |
| 60.6 | 25 | 4 2 2 |